This entry pairs a crystal structure of Li4Mn3Co2Te3O16 with its calculated powder diffraction line list. Radiation: Cu Kα X-rays. Structure: a structure optimized by DFT (PBE+U).

Top 12 peaks for 10° ≤ 2θ ≤ 90°, sorted by position:
16.9 deg, d = 5.242 Å, intensity 18.5, (1 -1 0)
18.0 deg, d = 4.915 Å, intensity 100.0, (0 0 2)
18.4 deg, d = 4.809 Å, intensity 28.4, (1 0 -1)
18.8 deg, d = 4.718 Å, intensity 30.5, (0 1 1)
19.1 deg, d = 4.649 Å, intensity 37.7, (-1 1 1)
24.1 deg, d = 3.700 Å, intensity 21.5, (1 0 -2)
25.0 deg, d = 3.564 Å, intensity 18.1, (1 -1 2)
33.9 deg, d = 2.645 Å, intensity 17.2, (0 2 -1)
34.2 deg, d = 2.620 Å, intensity 63.9, (2 0 -1)
34.9 deg, d = 2.572 Å, intensity 20.7, (2 0 1)
42.6 deg, d = 2.121 Å, intensity 27.1, (2 0 -3)
58.3 deg, d = 1.582 Å, intensity 19.6, (2 2 0)

Cell and atoms:
```
28
Lattice="6.087 0.000 0.000 -2.868 5.455 0.000 -0.289 -0.251 9.831" Properties=species:S:1:pos:R:3 pbc="T T T"
Li 0.000 0.000 0.000
Li 0.163 0.035 4.927
Li 0.376 3.550 8.912
Li 3.293 1.822 3.689
Mn 0.266 1.800 2.164
Mn 1.841 4.491 2.170
Mn 4.918 0.851 7.163
Co 0.420 3.497 4.794
Co 3.588 1.793 0.052
Te -1.160 4.497 2.141
Te 1.923 0.810 7.155
Te 3.507 3.490 6.920
O -2.674 5.205 3.169
O -1.242 2.564 8.113
O -1.065 2.825 3.227
O 0.472 -0.189 8.135
O -1.268 4.311 5.764
O 0.368 1.609 6.062
O 1.617 0.733 1.136
O 0.323 3.805 1.047
O 0.296 5.195 3.296
O 1.614 2.837 3.221
O 1.971 2.289 8.518
O 3.678 0.126 8.527
O 1.978 4.635 6.014
O 3.475 1.914 5.755
O 4.891 0.852 1.236
O 3.428 3.714 1.055
```